The following is a theoretical powder XRD pattern of Tc4BiO12. It was derived from a crystal structure in Alexandria, relaxed with GGA-PBE, using CuKα.

```
Tc4BiO12
1.0
-3.8604 3.8604 3.7446
3.8604 -3.8604 3.7446
3.8604 3.8604 -3.7446
Tc Bi O
4 1 12
direct
0.0000 0.0000 0.5000
0.0000 0.5000 0.0000
0.5000 0.0000 0.0000
0.5000 0.5000 0.5000
0.0000 0.0000 0.0000
0.0353 0.7888 0.2465
0.2112 0.4577 0.2465
0.2112 0.9647 0.7535
0.2779 0.2779 0.5559
0.2779 0.7221 0.0000
0.4577 0.2112 0.2465
0.5423 0.7888 0.7535
0.7221 0.2779 0.0000
0.7221 0.7221 0.4441
0.7888 0.0353 0.2465
0.7888 0.5423 0.7535
0.9647 0.2112 0.7535
```

Most intense lines, 10 to 90 degrees two-theta, in order of rising 2θ:
| 2theta | Rel. int. |
| --- | --- |
| 16.24 | 42 |
| 16.49 | 81 |
| 23.04 | 32 |
| 28.46 | 41 |
| 28.91 | 20 |
| 32.81 | 50 |
| 33.34 | 100 |
| 47.08 | 38 |
| 58.91 | 42 |
| 59.91 | 22 |